[1]
# Pu4ScS5
Theoretical X-ray powder pattern, Cu Kα (weighted mean of Kα1 and Kα2). Input: DFT lattice parameters and positions (GGA-PBE).
Peak positions follow from Bragg's law for the DFT cell and can differ from measured ones.

Crystal structure
Lattice parameters (Å, degrees): 14.0521 14.0521 14.0521 164.01 164.01 22.69
Atoms (fractional coordinates):
1 Pu 0.0980 0.0980 0.0000
2 Pu 0.3016 0.3016 0.0000
3 Pu 0.6984 0.6984 0.0000
4 Pu 0.9020 0.9020 0.0000
5 Sc 0.5000 0.5000 0.0000
6 S 0.0000 0.0000 0.0000
7 S 0.2008 0.2008 0.0000
8 S 0.4047 0.4047 0.0000
9 S 0.5953 0.5953 0.0000
10 S 0.7992 0.7992 0.0000

Main lines, most intense first (2θ = 5–70°):
- 27.98°, intensity 100.0
- 46.51°, intensity 75.9
- 32.39°, intensity 69.9
- 32.49°, intensity 34.1
- 55.12°, intensity 33.4
- 57.84°, intensity 26.4
- 6.42°, intensity 25.4
- 55.25°, intensity 16.3
- 24.75°, intensity 8.9
- 22.98°, intensity 8.4


[2]
# La3Sn3Au8
Theoretical X-ray powder pattern, Cu Kα (weighted mean of Kα1 and Kα2). Input: DFT lattice parameters and positions (GGA-PBE).
Peak positions follow from Bragg's law for the DFT cell and can differ from measured ones.

Crystal structure
Lattice parameters (Å, degrees): 8.7935 8.7935 9.5242 121.35 121.35 31.89
Atoms (fractional coordinates):
1 La 0.0000 0.0000 0.0000
2 La 0.3005 0.3005 0.2837
3 La 0.6995 0.6995 0.7163
4 Sn 0.0000 0.0000 0.5000
5 Sn 0.3351 0.3351 0.6912
6 Sn 0.6649 0.6649 0.3088
7 Au 0.1360 0.1360 0.8554
8 Au 0.1422 0.1422 0.4255
9 Au 0.3463 0.3463 0.9824
10 Au 0.4977 0.4977 0.6793
11 Au 0.5023 0.5023 0.3207
12 Au 0.6537 0.6537 0.0176
13 Au 0.8578 0.8578 0.5745
14 Au 0.8640 0.8640 0.1446

Main lines, most intense first (2θ = 5–70°):
- 32.77°, intensity 100.0
- 37.23°, intensity 88.1
- 32.17°, intensity 57.7
- 37.96°, intensity 45.1
- 42.99°, intensity 44.1
- 35.87°, intensity 39.3
- 54.22°, intensity 33.7
- 33.79°, intensity 32.9
- 32.46°, intensity 31.0
- 18.64°, intensity 27.4


[3]
# Tl4Cu3AgBr12
Theoretical X-ray powder pattern, Cu Kα (weighted mean of Kα1 and Kα2). Input: DFT lattice parameters and positions (GGA-PBE).
Peak positions follow from Bragg's law for the DFT cell and can differ from measured ones.

Crystal structure
Lattice parameters (Å, degrees): 9.0413 9.0413 9.0413 109.47 109.47 109.47
Atoms (fractional coordinates):
1 Tl 0.0000 0.0000 0.5000
2 Tl 0.0000 0.5000 0.0000
3 Tl 0.5000 0.0000 0.0000
4 Tl 0.5000 0.5000 0.5000
5 Cu 0.0000 0.5000 0.5000
6 Cu 0.5000 0.0000 0.5000
7 Cu 0.5000 0.5000 0.0000
8 Ag 0.0000 0.0000 0.0000
9 Br 0.0000 0.2617 0.2617
10 Br 0.0000 0.7383 0.7383
11 Br 0.2500 0.5000 0.7500
12 Br 0.2500 0.7500 0.5000
13 Br 0.2617 0.0000 0.2617
14 Br 0.2617 0.2617 0.0000
15 Br 0.5000 0.2500 0.7500
16 Br 0.5000 0.7500 0.2500
17 Br 0.7383 0.0000 0.7383
18 Br 0.7383 0.7383 0.0000
19 Br 0.7500 0.2500 0.5000
20 Br 0.7500 0.5000 0.2500

Main lines, most intense first (2θ = 5–70°):
- 34.36°, intensity 100.0
- 29.64°, intensity 95.1
- 49.38°, intensity 70.3
- 24.11°, intensity 69.7
- 58.66°, intensity 40.8
- 42.42°, intensity 31.8
- 61.54°, intensity 23.9
- 67.09°, intensity 16.8
- 55.68°, intensity 15.1
- 16.99°, intensity 2.1


[4]
# Ba2ZnHgAu6
Theoretical X-ray powder pattern, Cu Kα (weighted mean of Kα1 and Kα2). Input: DFT lattice parameters and positions (GGA-PBE).
Peak positions follow from Bragg's law for the DFT cell and can differ from measured ones.

Crystal structure
Lattice parameters (Å, degrees): 7.2766 7.2766 9.4751 128.32 128.32 45.25
Atoms (fractional coordinates):
1 Ba 0.2445 0.2445 0.1973
2 Ba 0.7555 0.7555 0.8027
3 Zn 0.0000 0.0000 0.5000
4 Hg 0.5000 0.5000 0.0000
5 Au 0.2411 0.7404 0.7255
6 Au 0.2476 0.2476 0.5985
7 Au 0.2596 0.7589 0.2745
8 Au 0.7404 0.2411 0.7255
9 Au 0.7524 0.7524 0.4015
10 Au 0.7589 0.2596 0.2745

Main lines, most intense first (2θ = 5–70°):
- 36.10°, intensity 100.0
- 26.54°, intensity 72.3
- 36.84°, intensity 69.0
- 37.32°, intensity 63.9
- 38.02°, intensity 45.1
- 43.07°, intensity 36.3
- 41.25°, intensity 36.0
- 13.20°, intensity 33.1
- 36.72°, intensity 32.5
- 25.40°, intensity 31.8